This entry pairs a crystal structure of LiTiVO5 with its theoretical X-ray diffraction stick pattern. Radiation: Cu Kα. Structure: a cell relaxed with PBE+U.
Kinematic intensities with the Lorentz-polarization factor, no thermal factor.

Crystal structure
```
LiTiVO5
1.0
4.6183 -4.7760 0.0000
4.6183 4.7760 0.0000
0.0000 0.0000 4.6943
Li Ti V O
2 2 2 10
direct
0.0000 0.5000 0.0000 Li
0.5000 0.0000 0.0000 Li
0.2500 0.2500 0.5000 Ti
0.7500 0.7500 0.5000 Ti
0.2500 0.7500 0.6201 V
0.7500 0.2500 0.3799 V
0.0255 0.2585 0.2745 O
0.2415 0.4745 0.7255 O
0.2500 0.7500 0.2699 O
0.2585 0.0255 0.7255 O
0.4745 0.2415 0.2745 O
0.5255 0.7585 0.7255 O
0.7415 0.9745 0.2745 O
0.7500 0.2500 0.7301 O
0.7585 0.5255 0.2745 O
0.9745 0.7415 0.7255 O
```

Peak list (10 most intense, 5° ≤ 2θ ≤ 70°, in order of falling intensity)
2θ = 26.85°, I 100.0; 2θ = 18.90°, I 83.0; 2θ = 33.05°, I 76.0; 2θ = 23.21°, I 50.1; 2θ = 55.34°, I 26.3; 2θ = 40.77°, I 14.4; 2θ = 45.30°, I 14.3; 2θ = 59.02°, I 11.5; 2θ = 42.47°, I 10.9; 2θ = 65.06°, I 10.8